1.
This entry pairs a crystal structure of La3V2N6 with its theoretical PXRD pattern. Radiation: Cu Kα (weighted mean of Kα1 and Kα2). Structure: a PBE-relaxed structure.

Crystal structure
```
La3V2N6
1.0
-1.955 1.955 10.018
1.955 -1.955 10.018
1.955 1.955 -10.018
La V N
3 2 6
Direct
0.000 0.000 0.000
0.178 0.178 0.000
0.822 0.822 0.000
0.397 0.397 0.000
0.603 0.603 0.000
0.087 0.587 0.500
0.306 0.306 0.000
0.413 0.913 0.500
0.587 0.087 0.500
0.694 0.694 0.000
0.913 0.413 0.500
```

Main lines, by angle (2θ from 5° to 70°):
- d = 3.838 Å, I = 346
- d = 2.799 Å, I = 1000
- d = 2.765 Å, I = 644
- d = 2.130 Å, I = 373
- d = 1.955 Å, I = 338
- d = 1.603 Å, I = 372

2.
This entry pairs a crystal structure of NaGdTiO4 with its theoretical PXRD pattern. Radiation: Cu Kα (weighted mean of Kα1 and Kα2). Structure: a PBE-relaxed structure.

Crystal structure
```
NaGdTiO4
1.0
3.742 0.000 0.000
0.000 3.742 0.000
0.000 0.000 12.912
Na Gd Ti O
2 2 2 8
Direct
0.250 0.250 0.083
0.750 0.750 0.917
0.250 0.250 0.394
0.750 0.750 0.606
0.250 0.250 0.766
0.750 0.750 0.234
0.250 0.250 0.566
0.250 0.250 0.904
0.250 0.750 0.272
0.250 0.750 0.728
0.750 0.250 0.272
0.750 0.250 0.728
0.750 0.750 0.096
0.750 0.750 0.434
```

Main lines, by angle (2θ from 5° to 70°):
- d = 12.912 Å, I = 1000
- d = 3.237 Å, I = 396
- d = 2.824 Å, I = 396
- d = 2.646 Å, I = 268
- d = 1.871 Å, I = 150
- d = 1.560 Å, I = 136

3.
This entry pairs a crystal structure of LuTaTiO6 with its theoretical PXRD pattern. Radiation: Cu Kα (weighted mean of Kα1 and Kα2). Structure: a PBE-relaxed structure.

Crystal structure
```
LuTaTiO6
1.0
5.177 0.000 0.000
0.000 14.619 0.000
-0.021 0.000 5.581
Lu Ta Ti O
4 4 4 24
Direct
0.246 0.000 0.226
0.246 0.500 0.726
0.754 0.000 0.774
0.754 0.500 0.274
0.320 0.167 0.678
0.320 0.333 0.178
0.680 0.667 0.822
0.680 0.833 0.322
0.185 0.664 0.187
0.185 0.836 0.687
0.815 0.164 0.313
0.815 0.336 0.813
0.025 0.091 0.568
0.025 0.409 0.068
0.078 0.584 0.409
0.078 0.916 0.909
0.148 0.239 0.368
0.148 0.261 0.868
0.355 0.741 0.863
0.355 0.759 0.363
0.422 0.083 0.911
0.422 0.417 0.411
0.474 0.592 0.072
0.474 0.908 0.572
0.526 0.092 0.428
0.526 0.408 0.928
0.578 0.583 0.589
0.578 0.917 0.089
0.645 0.241 0.637
0.645 0.259 0.137
0.852 0.739 0.132
0.852 0.761 0.632
0.922 0.084 0.091
0.922 0.416 0.591
0.975 0.591 0.932
0.975 0.909 0.432
```

Main lines, by angle (2θ from 5° to 70°):
- d = 4.880 Å, I = 134
- d = 3.673 Å, I = 182
- d = 2.994 Å, I = 1000
- d = 2.791 Å, I = 127
- d = 2.437 Å, I = 115
- d = 1.835 Å, I = 122

4.
This entry pairs a crystal structure of K2LaI5 with its theoretical PXRD pattern. Radiation: Cu Kα (weighted mean of Kα1 and Kα2). Structure: a PBE-relaxed structure.

Crystal structure
```
K2LaI5
1.0
14.711 0.000 0.000
0.000 9.984 0.000
0.000 0.000 9.332
K La I
8 4 20
Direct
0.171 0.005 0.050
0.171 0.495 0.050
0.329 0.505 0.550
0.329 0.995 0.550
0.671 0.005 0.450
0.671 0.495 0.450
0.829 0.505 0.950
0.829 0.995 0.950
0.006 0.250 0.577
0.494 0.750 0.077
0.506 0.250 0.923
0.994 0.750 0.423
0.007 0.250 0.929
0.078 0.545 0.666
0.078 0.955 0.666
0.182 0.250 0.371
0.207 0.750 0.335
0.293 0.250 0.835
0.318 0.750 0.871
0.422 0.045 0.166
0.422 0.455 0.166
0.493 0.750 0.429
0.507 0.250 0.571
0.578 0.545 0.834
0.578 0.955 0.834
0.682 0.250 0.129
0.707 0.750 0.165
0.793 0.250 0.665
0.818 0.750 0.629
0.922 0.045 0.334
0.922 0.455 0.334
0.993 0.750 0.071
```

Main lines, by angle (2θ from 5° to 70°):
- d = 7.880 Å, I = 530
- d = 3.777 Å, I = 686
- d = 3.422 Å, I = 803
- d = 3.321 Å, I = 1000
- d = 3.093 Å, I = 629
- d = 2.962 Å, I = 611